1.
# BaYCu2O5
Computed powder XRD pattern, copper Kα. Input: a crystal structure in the Materials Project, relaxed with PBE.
Lines closer than 0.1° are merged.

Crystal structure
```
data_BaYCu2O5
_chemical_formula_sum 'Ba1 Y1 Cu2 O5'
_symmetry_space_group_name_H-M 'P 4/m m m'
_symmetry_Int_Tables_number 123
_symmetry_space_group_name_Hall '-P 4 2'
_cell_length_a 3.8846
_cell_length_b 3.8846
_cell_length_c 7.5971
_cell_angle_alpha 90.00
_cell_angle_beta 90.00
_cell_angle_gamma 90.00
loop_
_atom_site_label
_atom_site_fract_x
_atom_site_fract_y
_atom_site_fract_z
_atom_site_occupancy
Ba1 0.0000 0.0000 0.0000 1
Y1 0.0000 0.0000 0.5000 1
Cu1 0.5000 0.5000 0.2684 1
O1 0.0000 0.5000 0.3151 1
O2 0.5000 0.5000 0.0000 1
```

Top 10 peaks for 10 to 90 degrees two-theta, in order of falling intensity:
| Position (°2θ) | I/Imax | hkl |
| --- | --- | --- |
| 33.0 | 100 | 1 0 2 |
| 32.6 | 43 | 1 1 0 |
| 58.4 | 38 | 2 1 2 |
| 46.8 | 30 | 2 0 0 |
| 59.1 | 20 | 1 1 4 |
| 69.2 | 12 | 2 0 4 |
| 40.5 | 10 | 1 1 2 |
| 47.9 | 9 | 0 0 4 |
| 68.3 | 9 | 2 2 0 |
| 78.0 | 8 | 3 0 2 |

=====

2.
# SbO2
Computed powder XRD pattern, copper Kα. Input: a crystal structure in the Materials Project, relaxed with PBE.
Lines closer than 0.1° are merged.

Crystal structure
```
data_SbO2
_chemical_formula_sum 'Sb4 O8'
_symmetry_space_group_name_H-M 'P -1'
_symmetry_Int_Tables_number 2
_cell_length_a 3.2312
_cell_length_b 8.1837
_cell_length_c 8.4520
_cell_angle_alpha 85.59
_cell_angle_beta 81.62
_cell_angle_gamma 81.20
loop_
_symmetry_equiv_pos_as_xyz
'x,y,z'
'-x,-y,-z'
loop_
_atom_site_label
_atom_site_fract_x
_atom_site_fract_y
_atom_site_fract_z
_atom_site_occupancy
Sb1 0.1876 0.1819 0.4829 1
Sb2 0.2847 0.5644 0.8364 1
O1 0.1349 0.5271 0.2727 1
O2 0.2524 0.7765 0.7190 1
O3 0.2997 0.3672 0.0083 1
O4 0.3073 0.9480 0.3934 1
```

Top 10 peaks for 10 to 90 degrees two-theta, in order of falling intensity:
| Position (°2θ) | I/Imax | hkl |
| --- | --- | --- |
| 14.8 | 100 | 0 1 1 |
| 11.0 | 26 | 0 1 0 |
| 23.9 | 25 | 0 2 1 |
| 33.2 | 24 | 1 1 2 |
| 33.3 | 21 | 1 2 0 |
| 10.6 | 19 | 0 0 1 |
| 31.7 | 18 | 0 2 -2 |
| 32.6 | 15 | 1 -1 1 |
| 32.2 | 15 | 0 0 3 |
| 32.3 | 15 | 1 1 -1 |

=====

3.
# MgTe4Mo3WS4
Computed powder XRD pattern, copper Kα. Input: a crystal structure in the Materials Project, relaxed with PBE.
Lines closer than 0.1° are merged.

Crystal structure
```
data_MgTe4Mo3WS4
_chemical_formula_sum 'Mg1 Te4 Mo3 W1 S4'
_symmetry_space_group_name_H-M 'P 1'
_symmetry_Int_Tables_number 1
_cell_length_a 3.3551
_cell_length_b 3.3552
_cell_length_c 39.0662
_cell_angle_alpha 90.00
_cell_angle_beta 90.00
_cell_angle_gamma 60.00
loop_
_symmetry_equiv_pos_as_xyz
'x,y,z'
loop_
_atom_site_label
_atom_site_fract_x
_atom_site_fract_y
_atom_site_fract_z
_atom_site_occupancy
Mg1 0.0000 0.0000 0.0000 1
Te1 0.5682 0.7264 0.7338 1
Te2 0.5682 0.7263 0.8306 1
Te3 0.9017 0.0597 0.1697 1
Te4 0.9017 0.0596 0.2670 1
Mo1 0.5683 0.7264 0.5941 1
Mo2 0.9016 0.0596 0.4064 1
Mo3 0.9016 0.0597 0.7822 1
W1 0.5683 0.7263 0.2183 1
S1 0.5683 0.7263 0.3676 1
S2 0.5683 0.7262 0.4451 1
S3 0.9016 0.0598 0.5554 1
S4 0.9016 0.0597 0.6328 1
```

Top 10 peaks for 10 to 90 degrees two-theta, in order of falling intensity:
| Position (°2θ) | I/Imax | hkl |
| --- | --- | --- |
| 11.3 | 100 | 0 0 5 |
| 36.0 | 82 | 0 1 -8 |
| 43.3 | 43 | 1 0 13 |
| 30.8 | 42 | 0 1 0 |
| 38.6 | 29 | 0 1 10 |
| 54.7 | 27 | 1 2 0 |
| 33.8 | 14 | 1 0 -6 |
| 32.9 | 13 | 0 1 5 |
| 31.1 | 13 | 1 0 -2 |
| 13.6 | 13 | 0 0 6 |